For MgAu4, a structure optimized by DFT (GGA-PBE) gives the theoretical X-ray diffraction stick pattern in this record (Cu Kα X-rays).

Atomic structure:
Cell lengths 4.8604, 5.4641, 8.0863 Å; angles 90.00, 114.79, 90.00 degrees
Sites, in units of the cell vectors:
1 Mg 0.0000 0.0000 0.0000
2 Mg 0.0000 0.5000 0.5000
3 Au 0.1084 0.0029 0.3682
4 Au 0.1084 0.4971 0.8682
5 Au 0.4991 0.2478 0.7489
6 Au 0.4991 0.2522 0.2489
7 Au 0.5009 0.7478 0.7511
8 Au 0.5009 0.7522 0.2511
9 Au 0.8916 0.5029 0.1318
10 Au 0.8916 0.9971 0.6318

Most intense lines, 2θ = 10–90°, sorted by position:
- 2θ = 20.26°, d = 4.383 Å, intensity 55
- 2θ = 24.24°, d = 3.672 Å, intensity 57
- 2θ = 32.19°, d = 2.781 Å, intensity 41
- 2θ = 37.54°, d = 2.396 Å, intensity 36
- 2θ = 37.75°, d = 2.383 Å, intensity 59
- 2θ = 37.89°, d = 2.374 Å, intensity 42
- 2θ = 38.77°, d = 2.323 Å, intensity 100
- 2θ = 40.91°, d = 2.206 Å, intensity 31
- 2θ = 41.16°, d = 2.193 Å, intensity 90
- 2θ = 60.80°, d = 1.523 Å, intensity 30